This entry pairs a crystal structure of KFeH5S2O10 with its theoretical powder diffractogram. Radiation: Cu Kα X-rays. Structure: a cell relaxed with PBE+U.

Principal peaks in the range 2θ = 5–70°, in order of rising 2θ:
index, Position (°2θ), I (rel.)
0 0 1, 11.07, 25
0 1 -1, 16.64, 67
0 1 -2, 23.67, 27
1 0 1, 24.05, 23
1 -1 1, 25.31, 20
-1 1 1, 25.72, 24
1 1 0, 26.74, 100
0 1 2, 30.51, 23
1 -1 2, 31.81, 23
1 2 0, 39.80, 20

Cell and atoms:
Lattice parameters (Å, degrees): 4.7109 5.9205 8.3731 103.73 98.78 96.47
Space group P1 (No. 1)
Asymmetric unit:
K (0.0000, 0.0000, 0.0000)
Fe (0.9778, 0.9987, 0.5103)
H (0.0084, 0.6546, 0.6797)
H (0.3264, 0.7001, 0.6397)
H (0.4695, 0.5193, 0.0176)
H (0.6183, 0.2826, 0.3867)
H (0.9250, 0.3323, 0.3346)
S (0.3584, 0.6748, 0.2639)
S (0.5884, 0.3156, 0.7534)
O (0.1508, 0.7706, 0.6522)
O (0.1798, 0.8646, 0.2966)
O (0.1968, 0.4381, 0.2370)
O (0.3376, 0.2723, 0.6115)
O (0.4554, 0.6909, 0.0964)
O (0.4845, 0.3012, 0.9127)
O (0.6190, 0.7156, 0.3964)
O (0.7492, 0.5542, 0.7767)
O (0.7759, 0.1295, 0.7182)
O (0.7889, 0.2120, 0.3608)